For Ti3Ga, a PBE-relaxed structure gives the computed X-ray powder pattern in this record (CuKα).
Intensities are scaled so that the largest is 100.

Top 10 peaks for 2θ = 10–80°, by intensity:
- 2θ 38.71, I 100
- 2θ 46.30, I 29
- 2θ 64.52, I 20
- 2θ 42.33, I 19
- 2θ 75.00, I 12
- 2θ 67.55, I 9
- 2θ 24.98, I 4
- 2θ 20.80, I 2
- 2θ 39.10, I 2
- 2θ 53.32, I 1

Cell and atoms:
```
Ti3Ga
1.0
-1.961 1.961 4.270
1.961 -1.961 4.270
1.961 1.961 -4.270
Ti Ga
3 1
Direct
0.000 0.000 0.000 Ti
0.250 0.750 0.500 Ti
0.750 0.250 0.500 Ti
0.500 0.500 0.000 Ga
```

***

For Ti5Ga3, a PBE-relaxed structure gives the computed X-ray powder pattern in this record (CuKα).
Intensities are scaled so that the largest is 100.

Top 10 peaks for 2θ = 10–80°, by intensity:
- 2θ 40.49, I 100
- 2θ 39.22, I 61
- 2θ 40.27, I 54
- 2θ 36.33, I 30
- 2θ 44.12, I 27
- 2θ 51.29, I 21
- 2θ 67.88, I 20
- 2θ 77.15, I 18
- 2θ 36.10, I 17
- 2θ 52.75, I 16

Cell and atoms:
```
Ti5Ga3
1.0
-5.137 5.137 2.488
5.137 -5.137 2.488
5.137 5.137 -2.488
Ti Ga
10 6
Direct
0.077 0.777 0.855 Ti
0.223 0.077 0.300 Ti
0.250 0.750 0.500 Ti
0.277 0.577 0.855 Ti
0.423 0.277 0.700 Ti
0.577 0.723 0.300 Ti
0.723 0.423 0.145 Ti
0.750 0.250 0.500 Ti
0.777 0.923 0.700 Ti
0.923 0.223 0.145 Ti
0.165 0.335 0.500 Ga
0.250 0.250 0.000 Ga
0.335 0.835 0.170 Ga
0.665 0.165 0.830 Ga
0.750 0.750 0.000 Ga
0.835 0.665 0.500 Ga
```

***

For Ti3Ga, a PBE-relaxed structure gives the computed X-ray powder pattern in this record (CuKα).
Intensities are scaled so that the largest is 100.

Top 10 peaks for 2θ = 10–80°, by intensity:
- 2θ 41.42, I 100
- 2θ 38.72, I 27
- 2θ 36.41, I 24
- 2θ 71.92, I 18
- 2θ 78.78, I 17
- 2θ 65.52, I 15
- 2θ 54.20, I 14
- 2θ 26.33, I 4
- 2θ 17.97, I 3
- 2θ 77.34, I 2

Cell and atoms:
```
Ti3Ga
1.0
5.698 0.000 0.000
-2.849 4.935 0.000
0.000 0.000 4.651
Ti Ga
6 2
Direct
0.170 0.340 0.250 Ti
0.170 0.830 0.250 Ti
0.340 0.170 0.750 Ti
0.660 0.830 0.250 Ti
0.830 0.170 0.750 Ti
0.830 0.660 0.750 Ti
0.333 0.667 0.750 Ga
0.667 0.333 0.250 Ga
```

***

For Ti5Ga3, a PBE-relaxed structure gives the computed X-ray powder pattern in this record (CuKα).
Intensities are scaled so that the largest is 100.

Top 10 peaks for 2θ = 10–80°, by intensity:
- 2θ 39.95, I 100
- 2θ 41.46, I 64
- 2θ 41.05, I 40
- 2θ 33.76, I 26
- 2θ 36.02, I 22
- 2θ 64.57, I 22
- 2θ 52.94, I 20
- 2θ 28.85, I 17
- 2θ 43.77, I 13
- 2θ 13.42, I 12

Cell and atoms:
```
Ti5Ga3
1.0
7.617 0.000 0.000
-3.808 6.596 0.000
0.000 0.000 5.311
Ti Ga
10 6
Direct
0.000 0.238 0.250 Ti
0.000 0.762 0.750 Ti
0.238 0.000 0.250 Ti
0.238 0.238 0.750 Ti
0.333 0.667 0.000 Ti
0.333 0.667 0.500 Ti
0.667 0.333 0.000 Ti
0.667 0.333 0.500 Ti
0.762 0.000 0.750 Ti
0.762 0.762 0.250 Ti
0.000 0.394 0.750 Ga
0.000 0.606 0.250 Ga
0.394 0.000 0.750 Ga
0.394 0.394 0.250 Ga
0.606 0.000 0.250 Ga
0.606 0.606 0.750 Ga
```

***

For TiGa, a PBE-relaxed structure gives the computed X-ray powder pattern in this record (CuKα).
Intensities are scaled so that the largest is 100.

Top 10 peaks for 2θ = 10–80°, by intensity:
- 2θ 39.21, I 100
- 2θ 45.59, I 48
- 2θ 66.45, I 29
- 2θ 79.92, I 22
- 2θ 22.37, I 4
- 2θ 31.78, I 4
- 2θ 51.33, I 2
- 2θ 56.70, I 2
- 2θ 71.03, I 1
- 2θ 75.50, I 1

Cell and atoms:
```
TiGa
1.0
2.816 0.000 0.000
0.000 2.816 0.000
0.000 0.000 3.974
Ti Ga
1 1
Direct
0.000 0.000 0.000 Ti
0.500 0.500 0.500 Ga
```

***

For TiGa2, a PBE-relaxed structure gives the computed X-ray powder pattern in this record (CuKα).
Intensities are scaled so that the largest is 100.

Top 10 peaks for 2θ = 10–80°, by intensity:
- 2θ 39.21, I 100
- 2θ 46.14, I 32
- 2θ 66.02, I 18
- 2θ 44.48, I 16
- 2θ 67.30, I 10
- 2θ 78.36, I 9
- 2θ 29.14, I 4
- 2θ 22.89, I 2
- 2θ 40.35, I 2
- 2θ 46.96, I 2

Cell and atoms:
```
TiGa2
1.0
-1.968 1.968 12.220
1.968 -1.968 12.220
1.968 1.968 -12.220
Ti Ga
4 8
Direct
0.299 0.549 0.750 Ti
0.451 0.701 0.750 Ti
0.549 0.299 0.250 Ti
0.701 0.451 0.250 Ti
0.037 0.787 0.250 Ga
0.125 0.375 0.750 Ga
0.213 0.963 0.250 Ga
0.375 0.125 0.250 Ga
0.625 0.875 0.750 Ga
0.787 0.037 0.750 Ga
0.875 0.625 0.250 Ga
0.963 0.213 0.750 Ga
```

***

For Ti5Ga4, a PBE-relaxed structure gives the computed X-ray powder pattern in this record (CuKα).
Intensities are scaled so that the largest is 100.

Top 10 peaks for 2θ = 10–80°, by intensity:
- 2θ 40.41, I 100
- 2θ 39.62, I 95
- 2θ 38.66, I 38
- 2θ 57.88, I 25
- 2θ 72.43, I 20
- 2θ 51.12, I 16
- 2θ 75.83, I 12
- 2θ 33.07, I 10
- 2θ 28.00, I 9
- 2θ 62.82, I 8

Cell and atoms:
```
Ti5Ga4
1.0
7.880 0.000 0.000
-3.940 6.824 0.000
0.000 0.000 5.417
Ti Ga
10 8
Direct
0.000 0.287 0.250 Ti
0.000 0.713 0.750 Ti
0.287 0.000 0.250 Ti
0.287 0.287 0.750 Ti
0.333 0.667 0.000 Ti
0.333 0.667 0.500 Ti
0.667 0.333 0.000 Ti
0.667 0.333 0.500 Ti
0.713 0.000 0.750 Ti
0.713 0.713 0.250 Ti
0.000 0.000 0.000 Ga
0.000 0.000 0.500 Ga
0.000 0.377 0.750 Ga
0.000 0.623 0.250 Ga
0.377 0.000 0.750 Ga
0.377 0.377 0.250 Ga
0.623 0.000 0.250 Ga
0.623 0.623 0.750 Ga
```

***

For Ti3Ga, a PBE-relaxed structure gives the computed X-ray powder pattern in this record (CuKα).
Intensities are scaled so that the largest is 100.

Top 10 peaks for 2θ = 10–80°, by intensity:
- 2θ 39.87, I 100
- 2θ 72.39, I 30
- 2θ 57.65, I 16
- 2θ 24.10, I 3
- 2θ 47.13, I 2
- 2θ 27.90, I 2
- 2θ 63.39, I 1
- 2θ 65.24, I 1
- 2θ 77.56, I 1
- 2θ 49.36, I 1

Cell and atoms:
```
Ti3Ga
1.0
0.000 3.198 3.198
3.198 0.000 3.198
3.198 3.198 0.000
Ti Ga
3 1
Direct
0.000 0.000 0.000 Ti
0.250 0.250 0.250 Ti
0.750 0.750 0.750 Ti
0.500 0.500 0.500 Ga
```

***

For YTi2Ga4, a PBE-relaxed structure gives the computed X-ray powder pattern in this record (CuKα).
Intensities are scaled so that the largest is 100.

Top 10 peaks for 2θ = 10–80°, by intensity:
- 2θ 43.39, I 100
- 2θ 33.84, I 98
- 2θ 37.61, I 88
- 2θ 37.81, I 61
- 2θ 42.43, I 51
- 2θ 32.64, I 41
- 2θ 68.01, I 33
- 2θ 78.04, I 30
- 2θ 65.74, I 28
- 2θ 59.02, I 19

Cell and atoms:
```
YTi2Ga4
1.0
-3.382 3.382 2.743
3.382 -3.382 2.743
3.382 3.382 -2.743
Y Ti Ga
1 2 4
Direct
0.000 0.000 0.000 Y
0.250 0.750 0.500 Ti
0.750 0.250 0.500 Ti
0.303 0.303 0.606 Ga
0.303 0.697 0.000 Ga
0.697 0.303 0.000 Ga
0.697 0.697 0.394 Ga
```

***

For TiZnGa2, a PBE-relaxed structure gives the computed X-ray powder pattern in this record (CuKα).
Intensities are scaled so that the largest is 100.

Top 10 peaks for 2θ = 10–80°, by intensity:
- 2θ 39.61, I 100
- 2θ 45.66, I 33
- 2θ 67.50, I 19
- 2θ 46.87, I 15
- 2θ 66.55, I 10
- 2θ 22.37, I 2
- 2θ 32.26, I 1
- 2θ 22.94, I 1
- 2θ 31.84, I 1
- 2θ 57.00, I 1

Cell and atoms:
```
TiZnGa2
1.0
3.974 0.000 0.000
0.000 3.974 0.000
0.000 0.000 3.877
Ti Zn Ga
1 1 2
Direct
0.000 0.000 0.000 Ti
0.500 0.500 0.000 Zn
0.000 0.500 0.500 Ga
0.500 0.000 0.500 Ga
```

***

For Zr2Ti3Ga3, a PBE-relaxed structure gives the computed X-ray powder pattern in this record (CuKα).
Intensities are scaled so that the largest is 100.

Top 10 peaks for 2θ = 10–80°, by intensity:
- 2θ 39.64, I 100
- 2θ 38.61, I 70
- 2θ 39.83, I 62
- 2θ 13.04, I 36
- 2θ 34.96, I 32
- 2θ 57.45, I 26
- 2θ 34.75, I 18
- 2θ 27.81, I 18
- 2θ 78.29, I 18
- 2θ 61.56, I 16

Cell and atoms:
```
Zr2Ti3Ga3
1.0
7.841 0.000 0.000
-3.920 6.790 0.000
0.000 0.000 5.583
Zr Ti Ga
4 6 6
Direct
0.333 0.667 0.000 Zr
0.333 0.667 0.500 Zr
0.667 0.333 0.000 Zr
0.667 0.333 0.500 Zr
0.000 0.234 0.250 Ti
0.000 0.766 0.750 Ti
0.234 0.000 0.250 Ti
0.234 0.234 0.750 Ti
0.766 0.000 0.750 Ti
0.766 0.766 0.250 Ti
0.000 0.384 0.750 Ga
0.000 0.616 0.250 Ga
0.384 0.000 0.750 Ga
0.384 0.384 0.250 Ga
0.616 0.000 0.250 Ga
0.616 0.616 0.750 Ga
```

***

For TmGa3, a PBE-relaxed structure gives the computed X-ray powder pattern in this record (CuKα).
Intensities are scaled so that the largest is 100.

Top 10 peaks for 2θ = 10–80°, by intensity:
- 2θ 36.65, I 100
- 2θ 42.58, I 49
- 2θ 74.04, I 37
- 2θ 61.79, I 32
- 2θ 20.92, I 18
- 2θ 29.75, I 15
- 2θ 77.94, I 11
- 2θ 47.90, I 8
- 2θ 52.81, I 6
- 2θ 66.00, I 4

Cell and atoms:
```
TmGa3
1.0
4.246 0.000 0.000
0.000 4.246 0.000
0.000 0.000 4.246
Tm Ga
1 3
Direct
0.000 0.000 0.000 Tm
0.000 0.500 0.500 Ga
0.500 0.000 0.500 Ga
0.500 0.500 0.000 Ga
```